# 1
Diffraction record for LaPrBi4Pt2. The PXRD pattern is calculated, not measured: it uses a cell relaxed with GGA-PBE and a wavelength of 1.5418 Å.
Peak positions follow from Bragg's law for the DFT cell and can differ from measured ones.

Most intense lines, 10 to 80 degrees two-theta, low angle first:
- hkl 1 0 2, 2θ = 26.30°, I = 8.4
- hkl 1 1 2, 2θ = 32.52°, I = 100.0
- hkl 0 0 4, 2θ = 36.97°, I = 7.5
- hkl 2 0 0, 2θ = 38.10°, I = 45.2
- hkl 1 1 3, 2θ = 38.70°, I = 9.6
- hkl 1 1 4, 2θ = 46.18°, I = 14.3
- hkl 2 0 4, 2θ = 54.13°, I = 10.1
- hkl 2 2 0, 2θ = 54.98°, I = 15.9
- hkl 3 1 2, 2θ = 65.35°, I = 27.7
- hkl 2 0 6, 2θ = 70.45°, I = 7.4

Unit cell a=4.724 b=4.724 c=9.727 alpha=90.00 beta=90.00 gamma=90.00
Space group P4mm (No. 99)
Asymmetric unit:
1 La 0.000 0.000 0.000 (multiplicity 1)
2 Pr 0.500 0.500 0.544 (multiplicity 1)
3 Bi 0.000 0.000 0.604 (multiplicity 1)
4 Bi 0.000 0.500 0.274 (multiplicity 2)
5 Bi 0.500 0.500 0.937 (multiplicity 1)
6 Pt 0.000 0.500 0.771 (multiplicity 2)

***

# 2
Diffraction record for InGa3Pd4. The PXRD pattern is calculated, not measured: it uses a cell relaxed with GGA-PBE and a wavelength of 1.5418 Å.
Peak positions follow from Bragg's law for the DFT cell and can differ from measured ones.

Most intense lines, 10 to 80 degrees two-theta, low angle first:
- hkl 0 2 1, 2θ = 30.85°, I = 20.4
- hkl 2 0 2, 2θ = 35.54°, I = 17.8
- hkl 2 -1 3, 2θ = 39.59°, I = 100.0
- hkl 2 1 1, 2θ = 40.21°, I = 84.3
- hkl 1 0 4, 2θ = 43.17°, I = 26.3
- hkl 1 2 2, 2θ = 44.04°, I = 44.5
- hkl 3 0 0, 2θ = 44.33°, I = 27.3
- hkl 1 1 6, 2θ = 68.45°, I = 17.5
- hkl 5 -3 2, 2θ = 70.17°, I = 15.1
- hkl 1 4 0, 2θ = 70.38°, I = 16.0

Unit cell a=7.0785 b=7.0785 c=8.9198 alpha=90.00 beta=90.00 gamma=120.00
Space group R3 (No. 146, hexagonal axes)
Asymmetric unit:
1 In 0.0000 0.0000 0.0000 (multiplicity 3)
2 Ga 0.0447 0.2710 0.4591 (multiplicity 9)
3 Pd 0.0000 0.0000 0.6959 (multiplicity 3)
4 Pd 0.0899 0.6805 0.8987 (multiplicity 9)

***

# 3
Diffraction record for LiSiPt3. The PXRD pattern is calculated, not measured: it uses a cell relaxed with GGA-PBE and a wavelength of 1.5418 Å.
Peak positions follow from Bragg's law for the DFT cell and can differ from measured ones.

Most intense lines, 10 to 80 degrees two-theta, low angle first:
- hkl 1 0 0, 2θ = 18.60°, I = 73.8
- hkl 0 0 2, 2θ = 28.30°, I = 54.0
- hkl 1 0 2, 2θ = 34.09°, I = 22.9
- hkl 2 0 0, 2θ = 37.72°, I = 100.0
- hkl 1 1 2, 2θ = 43.64°, I = 18.3
- hkl 2 0 2, 2θ = 47.82°, I = 93.2
- hkl 0 0 4, 2θ = 58.54°, I = 22.7
- hkl 2 2 0, 2θ = 68.11°, I = 20.9
- hkl 2 0 4, 2θ = 71.77°, I = 14.9
- hkl 2 2 2, 2θ = 75.33°, I = 24.1

Unit cell a=5.5070 b=5.5070 c=6.3068 alpha=90.00 beta=90.00 gamma=120.00
Space group P6/mmm (No. 191)
Asymmetric unit:
1 Li 0.0000 0.0000 0.0000 (multiplicity 1)
2 Li 0.0000 0.0000 0.5000 (multiplicity 1)
3 Si 0.3333 0.6667 0.0000 (multiplicity 2)
4 Pt 0.0000 0.5000 0.2819 (multiplicity 6)

***

# 4
Diffraction record for Ni9Hg2. The PXRD pattern is calculated, not measured: it uses a cell relaxed with GGA-PBE and a wavelength of 1.5418 Å.
Peak positions follow from Bragg's law for the DFT cell and can differ from measured ones.

Most intense lines, 10 to 80 degrees two-theta, low angle first:
- hkl 0 0 5, 2θ = 13.69°, I = 69.4
- hkl 0 0 6, 2θ = 16.44°, I = 28.7
- hkl 0 0 8, 2θ = 21.98°, I = 33.9
- hkl 1 0 2, 2θ = 39.50°, I = 26.5
- hkl 0 1 4, 2θ = 40.71°, I = 29.8
- hkl 1 0 5, 2θ = 41.60°, I = 100.0
- hkl 1 0 6, 2θ = 42.67°, I = 83.4
- hkl 0 1 9, 2θ = 46.83°, I = 32.0
- hkl 0 1 11, 2θ = 50.30°, I = 72.0
- hkl 1 1 0, 2θ = 70.83°, I = 32.3

Unit cell a=2.6609 b=2.6609 c=32.3505 alpha=90.00 beta=90.00 gamma=120.00
Space group P-3m1 (No. 164)
Asymmetric unit:
1 Ni 0.0000 0.0000 0.0000 (multiplicity 1)
2 Ni 0.0000 0.0000 0.1771 (multiplicity 2)
3 Ni 0.3333 0.6667 0.1180 (multiplicity 2)
4 Ni 0.3333 0.6667 0.7640 (multiplicity 2)
5 Ni 0.3333 0.6667 0.9409 (multiplicity 2)
6 Hg 0.3333 0.6667 0.3118 (multiplicity 2)